This entry pairs a crystal structure of LiCrAg2O4 with its theoretical powder diffraction line list. Radiation: λ = 1.5418 Å (Cu Kα). Structure: a PBE+U-relaxed structure.
Kinematic intensities with the Lorentz-polarization factor, no thermal factor.

Crystal structure
a = 7.0425 Å, b = 8.8498 Å, c = 4.9142 Å
α = 90.00°, β = 134.16°, γ = 90.00°
Space group C2 (No. 5)
Symmetry-distinct sites (fractional):
Li (0.0000, 0.0000, 0.0000) x2
Cr (0.0000, 0.2572, 0.5000) x2
Ag (0.0000, 0.5169, 0.0000) x2
Ag (0.0000, 0.7366, 0.5000) x2
O (0.1590, 0.1403, 0.4240) x4
O (0.2233, 0.3727, 0.8952) x4

Peak list (8 most intense, 2θ from 15° to 90°, in order of rising 2θ)
2θ (°)	intensity	h k l
20.2	29	1 1 0
20.7	15	1 1 -1
32.5	100	0 2 1
35.5	29	2 0 0
36.6	12	2 0 -2
51.9	15	4 0 -2
61.9	13	2 2 1
63.3	13	4 2 -3